Diffraction record for Cd2SiHgO4. The PXRD pattern is computed, not measured: it uses a PBE-relaxed structure and λ = 1.5418 Å (Cu Kα).
No peak broadening, texture or thermal motion is included.

Top 12 peaks for 10° ≤ 2θ ≤ 90°, sorted by position:
d [Å], 2theta, Rel. int.
4.567, 19.43, 31
2.812, 31.82, 100
2.767, 32.36, 40
2.424, 37.09, 12
2.366, 38.02, 20
1.956, 46.41, 18
1.633, 56.35, 22
1.606, 57.37, 36
1.406, 66.49, 11
1.275, 74.42, 8
1.241, 76.78, 8
1.237, 77.08, 8

Crystal structure
Lattice parameters (Å, degrees): 5.5337 5.5337 8.0899 90.00 90.00 90.00
Space group I-42m (No. 121)
Asymmetric unit:
Cd (0.0000, 0.5000, 0.2500)
Si (0.0000, 0.0000, 0.0000)
Hg (0.0000, 0.0000, 0.5000)
O (0.1702, 0.1702, 0.8774)